Starting from the GGA-PBE geometry in Alexandria, the powder X-ray diffraction pattern of FeSb4Pd was computed for Cu Ka.
Neutral-atom scattering factors, no anomalous dispersion.

The 10 most intense peaks (2θ = 15–90°), by intensity:
2θ/deg	intensity
30.94	100
31.43	97
32.11	78
33.11	70
33.45	69
46.31	52
45.56	51
34.58	47
47.08	31
48.51	30

Cell and atoms:
```
data_FeSb4Pd
_cell_length_a 6.3614
_cell_length_b 6.4618
_cell_length_c 6.4839
_cell_angle_alpha 90.00
_cell_angle_beta 94.73
_cell_angle_gamma 90.00
_space_group_name_H-M_alt 'P 1'
_space_group_IT_number 1
loop_
_space_group_symop_operation_xyz
'x,y,z'
loop_
_atom_site_label
_atom_site_fract_x
_atom_site_fract_y
_atom_site_fract_z
_atom_site_occupancy
Fe1 0.0000 0.0000 0.0000 1
Fe2 0.0000 0.5000 0.5000 1
Sb1 0.0965 0.1434 0.6529 1
Sb2 0.0965 0.3566 0.1529 1
Sb3 0.3626 0.6285 0.6106 1
Sb4 0.3626 0.8715 0.1106 1
Sb5 0.6374 0.1285 0.8894 1
Sb6 0.6374 0.3715 0.3894 1
Sb7 0.9035 0.6434 0.8471 1
Sb8 0.9035 0.8566 0.3471 1
Pd1 0.5000 0.0000 0.5000 1
Pd2 0.5000 0.5000 0.0000 1
```

=====

Starting from the GGA-PBE geometry in Alexandria, the powder X-ray diffraction pattern of Na4HgBi3S8 was computed for Cu Ka.
Neutral-atom scattering factors, no anomalous dispersion.

The 10 most intense peaks (2θ = 15–90°), by intensity:
2θ/deg	intensity
31.18	100
43.97	57
26.03	55
30.86	52
27.08	42
33.81	40
44.92	36
25.76	30
26.18	23
40.43	22

Cell and atoms:
```
data_Na4HgBi3S8
_cell_length_a 8.0716
_cell_length_b 8.0716
_cell_length_c 8.2333
_cell_angle_alpha 119.25
_cell_angle_beta 119.25
_cell_angle_gamma 59.43
_space_group_name_H-M_alt 'P 1'
_space_group_IT_number 1
loop_
_space_group_symop_operation_xyz
'x,y,z'
loop_
_atom_site_label
_atom_site_fract_x
_atom_site_fract_y
_atom_site_fract_z
_atom_site_occupancy
Na1 0.0000 0.0000 0.0000 1
Na2 0.0000 0.5000 0.0000 1
Na3 0.5000 0.0000 0.0000 1
Na4 0.5000 0.5000 0.0000 1
Hg1 0.0000 0.0000 0.5000 1
Bi1 0.0000 0.5000 0.5000 1
Bi2 0.5000 0.0000 0.5000 1
Bi3 0.5000 0.5000 0.5000 1
S1 0.2370 0.7521 0.7296 1
S2 0.2479 0.7630 0.2704 1
S3 0.2543 0.2543 0.2604 1
S4 0.2536 0.2536 0.7432 1
S5 0.7464 0.7464 0.2568 1
S6 0.7457 0.7457 0.7396 1
S7 0.7521 0.2370 0.7296 1
S8 0.7630 0.2479 0.2704 1
```